(1)
Theoretical X-ray powder pattern of KIn for Cu Kα, from a crystal structure in Alexandria, relaxed with PBE.
No peak broadening, texture or thermal motion is included.

a = 6.451 Å, b = 6.451 Å, c = 6.451 Å
α = 33.91°, β = 33.91°, γ = 33.91°
Positions (direct):
K1 0.000 0.000 0.000
In1 0.500 0.500 0.500

Largest 12 diffraction maxima, in order of rising 2θ, 2θ = 10–90°:
| 2θ (°) | d [Å] | Rel. int. |
| --- | --- | --- |
| 14.58 | 6.074 | 37 |
| 27.82 | 3.207 | 25 |
| 29.11 | 3.068 | 100 |
| 29.41 | 3.037 | 32 |
| 33.82 | 2.650 | 67 |
| 37.01 | 2.429 | 12 |
| 48.39 | 1.881 | 23 |
| 48.78 | 1.867 | 22 |
| 57.46 | 1.604 | 13 |
| 57.64 | 1.599 | 26 |
| 57.99 | 1.590 | 13 |
| 60.34 | 1.534 | 11 |

(2)
Theoretical X-ray powder pattern of PuZnP2O8 for Cu Kα, from a crystal structure in Alexandria, relaxed with PBE.
No peak broadening, texture or thermal motion is included.

a = 5.127 Å, b = 5.127 Å, c = 6.685 Å
α = 90.00°, β = 90.00°, γ = 120.00°
Positions (direct):
Pu1 0.000 0.000 0.000
Zn1 0.000 0.000 0.500
P1 0.333 0.667 0.790
P2 0.667 0.333 0.210
O1 0.166 0.335 0.720
O2 0.169 0.834 0.720
O3 0.333 0.667 0.021
O4 0.335 0.169 0.280
O5 0.665 0.831 0.720
O6 0.667 0.333 0.979
O7 0.831 0.166 0.280
O8 0.834 0.665 0.280

Largest 12 diffraction maxima, in order of rising 2θ, 2θ = 10–90°:
| 2θ (°) | d [Å] | Rel. int. |
| --- | --- | --- |
| 13.24 | 6.685 | 42 |
| 20.00 | 4.440 | 100 |
| 24.06 | 3.699 | 42 |
| 33.56 | 2.671 | 69 |
| 35.00 | 2.564 | 46 |
| 37.58 | 2.394 | 26 |
| 44.54 | 2.034 | 34 |
| 49.27 | 1.849 | 34 |
| 54.69 | 1.678 | 15 |
| 59.06 | 1.564 | 13 |
| 61.86 | 1.500 | 25 |
| 66.82 | 1.400 | 12 |

(3)
Theoretical X-ray powder pattern of Er3Si3Ru2 for Cu Kα, from a crystal structure in Alexandria, relaxed with PBE.
No peak broadening, texture or thermal motion is included.

a = 7.871 Å, b = 13.921 Å, c = 5.671 Å
α = 90.00°, β = 90.00°, γ = 90.00°
Positions (direct):
Er1 0.046 0.113 0.120
Er2 0.046 0.387 0.120
Er3 0.187 0.250 0.629
Er4 0.313 0.750 0.129
Er5 0.454 0.613 0.620
Er6 0.454 0.887 0.620
Er7 0.546 0.113 0.380
Er8 0.546 0.387 0.380
Er9 0.687 0.250 0.871
Er10 0.813 0.750 0.371
Er11 0.954 0.613 0.880
Er12 0.954 0.887 0.880
Si1 0.158 0.750 0.598
Si2 0.193 0.041 0.636
Si3 0.193 0.459 0.636
Si4 0.307 0.541 0.136
Si5 0.307 0.959 0.136
Si6 0.342 0.250 0.098
Si7 0.658 0.750 0.902
Si8 0.693 0.041 0.864
Si9 0.693 0.459 0.864
Si10 0.807 0.541 0.364
Si11 0.807 0.959 0.364
Si12 0.842 0.250 0.402
Ru1 0.092 0.589 0.394
Ru2 0.092 0.911 0.394
Ru3 0.408 0.089 0.894
Ru4 0.408 0.411 0.894
Ru5 0.592 0.589 0.106
Ru6 0.592 0.911 0.106
Ru7 0.908 0.089 0.606
Ru8 0.908 0.411 0.606

Largest 12 diffraction maxima, in order of rising 2θ, 2θ = 10–90°:
| 2θ (°) | d [Å] | Rel. int. |
| --- | --- | --- |
| 27.29 | 3.267 | 63 |
| 28.34 | 3.150 | 44 |
| 32.25 | 2.776 | 39 |
| 34.22 | 2.620 | 100 |
| 34.40 | 2.607 | 88 |
| 37.78 | 2.381 | 45 |
| 37.99 | 2.369 | 58 |
| 38.35 | 2.347 | 39 |
| 38.81 | 2.320 | 42 |
| 38.94 | 2.313 | 92 |
| 42.69 | 2.118 | 49 |
| 57.83 | 1.594 | 37 |

What did the second record say?
Theoretical X-ray powder pattern of PuZnP2O8 for Cu Kα, from a crystal structure in Alexandria, relaxed with PBE.
No peak broadening, texture or thermal motion is included.

a = 5.127 Å, b = 5.127 Å, c = 6.685 Å
α = 90.00°, β = 90.00°, γ = 120.00°
Positions (direct):
Pu1 0.000 0.000 0.000
Zn1 0.000 0.000 0.500
P1 0.333 0.667 0.790
P2 0.667 0.333 0.210
O1 0.166 0.335 0.720
O2 0.169 0.834 0.720
O3 0.333 0.667 0.021
O4 0.335 0.169 0.280
O5 0.665 0.831 0.720
O6 0.667 0.333 0.979
O7 0.831 0.166 0.280
O8 0.834 0.665 0.280

Largest 12 diffraction maxima, in order of rising 2θ, 2θ = 10–90°:
| 2θ (°) | d [Å] | Rel. int. |
| --- | --- | --- |
| 13.24 | 6.685 | 42 |
| 20.00 | 4.440 | 100 |
| 24.06 | 3.699 | 42 |
| 33.56 | 2.671 | 69 |
| 35.00 | 2.564 | 46 |
| 37.58 | 2.394 | 26 |
| 44.54 | 2.034 | 34 |
| 49.27 | 1.849 | 34 |
| 54.69 | 1.678 | 15 |
| 59.06 | 1.564 | 13 |
| 61.86 | 1.500 | 25 |
| 66.82 | 1.400 | 12 |